[1]
# Pr3Ga2Ru2N3
Calculated powder X-ray diffraction pattern, Cu Ka. Input: a PBE-relaxed structure.
Kinematic intensities with the Lorentz-polarization factor, no thermal factor.

The 10 most intense peaks (10 to 90 degrees two-theta), by intensity:
2θ (°)	d [Å]	intensity	index
29.9	2.988	100	1 0 5
33.7	2.656	34	1 1 0
50.5	1.807	33	1 1 10
58.0	1.590	32	2 1 5
48.5	1.878	29	2 0 0
36.8	2.439	17	1 1 4
34.5	2.597	15	1 1 2
40.8	2.213	10	1 0 9
40.4	2.231	10	1 1 6
71.0	1.328	9	2 2 0

Crystal structure
Cell lengths 3.7565, 3.7565, 24.6466 Å; angles 90.00, 90.00, 90.00 degrees
Space group I4/mmm (No. 139)
Unique sites:
Pr 0.0000 0.0000 0.0000 x2
Pr 0.0000 0.0000 0.3957 x4
Ga 0.0000 0.5000 0.2500 x4
Ru 0.0000 0.0000 0.1794 x4
N 0.0000 0.0000 0.0995 x4
N 0.0000 0.0000 0.5000 x2

***

[2]
# K2Cd
Calculated powder X-ray diffraction pattern, Cu Ka. Input: a PBE-relaxed structure.
Kinematic intensities with the Lorentz-polarization factor, no thermal factor.

The 10 most intense peaks (10 to 90 degrees two-theta), by intensity:
2θ (°)	d [Å]	intensity	index
28.3	3.158	100	1 0 1
28.5	3.137	79	1 1 0
16.3	5.433	39	1 0 0
50.3	1.815	38	2 1 1
40.5	2.226	36	2 0 1
55.7	1.650	21	1 1 2
81.1	1.186	15	4 1 0
66.6	1.405	15	3 1 1
50.4	1.811	15	3 0 0
71.2	1.324	10	3 0 2

Crystal structure
Cell lengths 6.2738, 6.2738, 3.8810 Å; angles 90.00, 90.00, 120.00 degrees
Space group P6/mmm (No. 191)
Unique sites:
K 0.3333 0.6667 0.0000 x2
Cd 0.0000 0.0000 0.5000 x1

***

[3]
# La2SmFe9
Calculated powder X-ray diffraction pattern, Cu Ka. Input: a PBE-relaxed structure.
Kinematic intensities with the Lorentz-polarization factor, no thermal factor.

The 10 most intense peaks (10 to 90 degrees two-theta), by intensity:
2θ (°)	d [Å]	intensity	index
41.0	2.199	100	1 1 6
34.6	2.592	52	1 1 0
32.1	2.791	48	1 0 7
40.3	2.235	39	0 2 1
35.0	2.561	36	0 1 8
66.4	1.408	23	0 3 6
73.0	1.296	21	2 2 0
60.4	1.532	15	2 1 7
67.1	1.396	15	2 0 14
62.3	1.490	14	1 2 8

Crystal structure
Cell lengths 5.1833, 5.1833, 24.9518 Å; angles 90.00, 90.00, 120.00 degrees
Space group R-3m (No. 166, hexagonal axes)
Unique sites:
La 0.0000 0.0000 0.1414 x6
Sm 0.0000 0.0000 0.0000 x3
Fe 0.0000 0.0000 0.3329 x6
Fe 0.0000 0.0000 0.5000 x3
Fe 0.0040 0.5020 0.0792 x18

***

[4]
# Mn2CdPb
Calculated powder X-ray diffraction pattern, Cu Ka. Input: a PBE-relaxed structure.
Kinematic intensities with the Lorentz-polarization factor, no thermal factor.

The 10 most intense peaks (10 to 90 degrees two-theta), by intensity:
2θ (°)	d [Å]	intensity	index
38.0	2.368	100	0 2 0
35.2	2.548	23	0 0 4
68.6	1.367	20	1 3 2
20.7	4.298	18	0 1 1
32.4	2.761	17	0 1 3
65.1	1.434	15	1 1 6
28.9	3.086	15	1 0 1
52.7	1.735	14	0 2 4
81.3	1.184	8	2 2 4
48.4	1.880	8	1 2 1

Crystal structure
Cell lengths 3.2379, 4.7400, 10.1920 Å; angles 90.00, 90.00, 90.00 degrees
Space group Imm2 (No. 44)
Unique sites:
Mn 0.0000 0.0000 0.0000 x2
Mn 0.0000 0.5000 0.2826 x2
Cd 0.0000 0.0000 0.5365 x2
Pb 0.0000 0.5000 0.7637 x2